Structure and theoretical X-ray powder pattern of ErS (DFT lattice parameters and positions (GGA-PBE); Cu Kα, 1.54184 Å).

Top 6 peaks for 2θ from 5° to 70°, by angle:
h k l, 2theta, d_spacing, I/Imax
1 1 1, 28.3, 3.155, 847
2 0 0, 32.8, 2.732, 1000
2 2 0, 47.0, 1.932, 719
3 1 1, 55.8, 1.648, 410
2 2 2, 58.5, 1.577, 249
4 0 0, 68.7, 1.366, 115

Cell and atoms:
Cell lengths 5.464, 5.464, 5.464 Å; angles 90.00, 90.00, 90.00 degrees
Atoms (fractional coordinates):
Er (0.000, 0.000, 0.000)
Er (0.000, 0.500, 0.500)
Er (0.500, 0.000, 0.500)
Er (0.500, 0.500, 0.000)
S (0.000, 0.000, 0.500)
S (0.000, 0.500, 0.000)
S (0.500, 0.000, 0.000)
S (0.500, 0.500, 0.500)

Structure and theoretical X-ray powder pattern of ZnTe (DFT lattice parameters and positions (GGA-PBE); Cu Kα, 1.54184 Å).

Top 12 peaks for 2θ from 5° to 70°, by angle:
h k l, 2theta, d_spacing, I/Imax
1 0 0, 23.5, 3.781, 1000
0 0 2, 24.8, 3.590, 620
1 0 1, 26.6, 3.345, 919
1 0 2, 34.5, 2.603, 395
1 1 0, 41.4, 2.183, 893
1 0 3, 44.8, 2.022, 922
2 0 0, 48.1, 1.890, 143
1 1 2, 48.8, 1.865, 582
2 0 1, 49.9, 1.828, 163
2 0 3, 62.6, 1.483, 331
2 1 0, 65.3, 1.429, 111
2 1 1, 66.7, 1.401, 135

Cell and atoms:
Cell lengths 4.365, 4.365, 7.179 Å; angles 90.00, 90.00, 120.00 degrees
Atoms (fractional coordinates):
Zn (0.333, 0.667, 0.000)
Zn (0.667, 0.333, 0.500)
Te (0.333, 0.667, 0.374)
Te (0.667, 0.333, 0.874)

Structure and theoretical X-ray powder pattern of Li8CrS6 (DFT lattice parameters and positions (GGA-PBE); Cu Kα, 1.54184 Å).

Top 12 peaks for 2θ from 5° to 70°, by angle:
h k l, 2theta, d_spacing, I/Imax
1 0 0, 14.9, 5.934, 585
1 0 2, 20.0, 4.438, 1000
1 1 0, 26.0, 3.426, 465
0 0 4, 26.7, 3.343, 604
1 1 1, 26.9, 3.319, 749
1 1 2, 29.3, 3.049, 474
2 0 2, 33.0, 2.714, 356
1 1 5, 42.9, 2.108, 228
1 0 6, 43.4, 2.086, 238
3 0 0, 45.9, 1.978, 658
1 1 6, 48.7, 1.868, 272
3 0 4, 53.9, 1.702, 378

Cell and atoms:
Cell lengths 6.852, 6.852, 13.371 Å; angles 90.00, 90.00, 120.00 degrees
Atoms (fractional coordinates):
Li (0.000, 0.315, 0.000)
Li (0.000, 0.379, 0.364)
Li (0.000, 0.621, 0.864)
Li (0.000, 0.685, 0.500)
Li (0.315, 0.000, 0.000)
Li (0.315, 0.315, 0.500)
Li (0.333, 0.667, 0.137)
Li (0.333, 0.667, 0.637)
Li (0.379, 0.000, 0.364)
Li (0.379, 0.379, 0.864)
Li (0.621, 0.000, 0.864)
Li (0.621, 0.621, 0.364)
Li (0.667, 0.333, 0.137)
Li (0.667, 0.333, 0.637)
Li (0.685, 0.000, 0.500)
Li (0.685, 0.685, 0.000)
Cr (0.000, 0.000, 0.233)
Cr (0.000, 0.000, 0.733)
S (0.000, 0.000, 0.400)
S (0.000, 0.000, 0.900)
S (0.000, 0.305, 0.185)
S (0.000, 0.695, 0.685)
S (0.305, 0.000, 0.185)
S (0.305, 0.305, 0.685)
S (0.333, 0.667, 0.452)
S (0.333, 0.667, 0.952)
S (0.667, 0.333, 0.452)
S (0.667, 0.333, 0.952)
S (0.695, 0.000, 0.685)
S (0.695, 0.695, 0.185)

Structure and theoretical X-ray powder pattern of SrSm2O4 (DFT lattice parameters and positions (GGA-PBE); Cu Kα, 1.54184 Å).

Top 12 peaks for 2θ from 5° to 70°, by angle:
h k l, 2theta, d_spacing, I/Imax
0 0 4, 29.1, 3.065, 488
3 0 2, 29.7, 3.007, 1000
1 1 2, 30.5, 2.929, 854
2 1 0, 30.7, 2.912, 411
2 1 4, 42.8, 2.111, 438
4 1 0, 43.4, 2.085, 243
0 2 0, 52.0, 1.759, 348
1 1 6, 52.5, 1.742, 192
6 0 0, 53.1, 1.725, 342
5 1 2, 53.5, 1.714, 200
3 2 2, 61.0, 1.520, 268
6 0 4, 61.7, 1.503, 135

Cell and atoms:
Cell lengths 10.352, 3.522, 12.260 Å; angles 90.00, 90.00, 90.00 degrees
Atoms (fractional coordinates):
Sr (0.247, 0.250, 0.149)
Sr (0.253, 0.750, 0.649)
Sr (0.747, 0.250, 0.351)
Sr (0.753, 0.750, 0.851)
Sm (0.078, 0.250, 0.388)
Sm (0.078, 0.250, 0.888)
Sm (0.422, 0.750, 0.388)
Sm (0.422, 0.750, 0.888)
Sm (0.578, 0.250, 0.112)
Sm (0.578, 0.250, 0.612)
Sm (0.922, 0.750, 0.112)
Sm (0.922, 0.750, 0.612)
O (0.018, 0.750, 0.783)
O (0.076, 0.250, 0.578)
O (0.128, 0.750, 0.022)
O (0.210, 0.750, 0.320)
O (0.290, 0.250, 0.820)
O (0.372, 0.250, 0.522)
O (0.424, 0.750, 0.078)
O (0.482, 0.250, 0.283)
O (0.518, 0.750, 0.717)
O (0.576, 0.250, 0.922)
O (0.628, 0.750, 0.478)
O (0.710, 0.750, 0.180)
O (0.790, 0.250, 0.680)
O (0.872, 0.250, 0.978)
O (0.924, 0.750, 0.422)
O (0.982, 0.250, 0.217)

Repeat the first record exactly.
Structure and theoretical X-ray powder pattern of ErS (DFT lattice parameters and positions (GGA-PBE); Cu Kα, 1.54184 Å).

Top 6 peaks for 2θ from 5° to 70°, by angle:
h k l, 2theta, d_spacing, I/Imax
1 1 1, 28.3, 3.155, 847
2 0 0, 32.8, 2.732, 1000
2 2 0, 47.0, 1.932, 719
3 1 1, 55.8, 1.648, 410
2 2 2, 58.5, 1.577, 249
4 0 0, 68.7, 1.366, 115

Cell and atoms:
Cell lengths 5.464, 5.464, 5.464 Å; angles 90.00, 90.00, 90.00 degrees
Atoms (fractional coordinates):
Er (0.000, 0.000, 0.000)
Er (0.000, 0.500, 0.500)
Er (0.500, 0.000, 0.500)
Er (0.500, 0.500, 0.000)
S (0.000, 0.000, 0.500)
S (0.000, 0.500, 0.000)
S (0.500, 0.000, 0.000)
S (0.500, 0.500, 0.500)